Entry 1:
# LiMo2PO8
Computed powder X-ray diffraction pattern, Cu Kα. Input: a cell relaxed with PBE+U.
No peak broadening, texture or thermal motion is included.

Cell and atoms:
abc: 6.789 5.366 17.920
angles: 90.00 90.92 90.00
Space group P2_1 (No. 4)
One atom of each set of equivalent atoms:
Li 0.241 0.000 0.218
Li 0.254 0.999 0.708
Mo 0.002 0.936 0.375
Mo 0.160 0.941 0.048
Mo 0.342 0.940 0.547
Mo 0.494 0.949 0.878
P 0.197 0.430 0.810
P 0.304 0.438 0.306
O 0.004 0.942 0.149
O 0.028 0.673 0.009
O 0.146 0.491 0.727
O 0.161 0.929 0.455
O 0.172 0.169 0.607
O 0.183 0.681 0.311
O 0.185 0.680 0.588
O 0.189 0.201 0.325
O 0.282 0.158 0.810
O 0.296 0.230 0.084
O 0.338 0.952 0.958
O 0.345 0.616 0.840
O 0.354 0.740 0.109
O 0.366 0.395 0.224
O 0.487 0.185 0.503
O 0.498 0.456 0.352

Peak list (10 most intense, 5 to 70 degrees two-theta, by angle)
| two_theta | I (rel.) |
| --- | --- |
| 9.87 | 27.9 |
| 19.96 | 26.7 |
| 21.69 | 100.0 |
| 23.26 | 38.7 |
| 23.44 | 35.0 |
| 23.62 | 25.1 |
| 25.77 | 27.1 |
| 26.02 | 26.2 |
| 33.39 | 30.1 |
| 34.37 | 33.7 |

=====

Entry 2:
# RbNiO2
Computed powder X-ray diffraction pattern, Cu Kα. Input: a cell relaxed with PBE+U.
No peak broadening, texture or thermal motion is included.

Cell and atoms:
abc: 8.456 8.456 8.456
angles: 90.00 90.00 90.00
Space group Fd-3m (No. 227, origin choice 2)
One atom of each set of equivalent atoms:
Rb 0.125 0.125 0.125
Ni 0.125 0.125 0.625
O 0.000 0.000 0.500

Peak list (7 most intense, 5 to 70 degrees two-theta, by angle)
| two_theta | I (rel.) |
| --- | --- |
| 29.89 | 100.0 |
| 35.20 | 5.5 |
| 36.82 | 1.8 |
| 42.78 | 11.5 |
| 53.06 | 37.8 |
| 56.55 | 1.6 |
| 62.09 | 16.0 |